The following is a theoretical powder X-ray diffraction pattern of Ti3CuNi2P6O24. It was derived from the GGA+U geometry in the Materials Project, using Cu Ka.
Kinematic intensities with the Lorentz-polarization factor, no thermal factor.

Main lines, most intense first (2θ from 15° to 90°):
d [Å]  I/Imax
3.649  100
4.312  84
2.681  72
2.490  38
1.899  31
1.824  28
1.630  22
1.472  21
3.510  20
1.612  16

abc: 8.466 8.466 8.466
angles: 61.24 61.24 61.24
Atoms (fractional coordinates):
Ti 0.000 0.000 0.000
Ti 0.213 0.213 0.213
Ti 0.503 0.503 0.503
Cu 0.713 0.713 0.713
Ni 0.356 0.356 0.356
Ni 0.855 0.855 0.855
P 0.108 0.811 0.403
P 0.313 0.610 0.905
P 0.403 0.108 0.811
P 0.610 0.905 0.313
P 0.811 0.403 0.108
P 0.905 0.313 0.610
O 0.040 0.860 0.240
O 0.103 0.289 0.447
O 0.112 0.767 0.916
O 0.188 0.969 0.344
O 0.240 0.040 0.860
O 0.270 0.614 0.411
O 0.289 0.447 0.103
O 0.344 0.188 0.969
O 0.363 0.542 0.740
O 0.411 0.270 0.614
O 0.447 0.103 0.289
O 0.463 0.676 0.875
O 0.542 0.740 0.363
O 0.598 0.955 0.805
O 0.614 0.411 0.270
O 0.676 0.875 0.463
O 0.740 0.363 0.542
O 0.767 0.916 0.112
O 0.805 0.598 0.955
O 0.860 0.240 0.040
O 0.875 0.463 0.676
O 0.916 0.112 0.767
O 0.955 0.805 0.598
O 0.969 0.344 0.188